Ca6CdGe2: computed powder XRD pattern (Cu Kα X-rays), based on DFT lattice parameters and positions (GGA-PBE).

Structural model:
Cell lengths 9.9985, 10.1021, 10.9261 Å; angles 90.00, 90.00, 90.00 degrees
Space group Immm (No. 71)
One atom of each set of equivalent atoms:
Ca 0.0000 0.1889 0.1698 [8 per cell]
Ca 0.1813 0.2199 0.5000 [8 per cell]
Ca 0.1986 0.5000 0.2536 [8 per cell]
Cd 0.0000 0.5000 0.0000 [2 per cell]
Cd 0.0000 0.5000 0.5000 [2 per cell]
Ge 0.0000 0.0000 0.3823 [4 per cell]
Ge 0.1592 0.0000 0.0000 [4 per cell]

Peak list (8 most intense, 10 to 80 degrees two-theta, by angle)
(0 0 2), 16.22 deg, d 5.463, I 32; (0 2 0), 17.56 deg, d 5.051, I 52; (2 2 2), 30.00 deg, d 2.979, I 77; (1 2 3), 31.58 deg, d 2.833, I 38; (3 1 2), 32.71 deg, d 2.737, I 100; (3 2 1), 33.23 deg, d 2.696, I 54; (1 1 4), 35.20 deg, d 2.550, I 28; (0 4 0), 35.55 deg, d 2.526, I 35